Starting from a DFT-relaxed cell (PBE+U, Alexandria), the X-ray diffraction stick pattern of MgW2O4 was computed for Cu Kα X-rays.
Neutral-atom scattering factors, no anomalous dispersion.

Most intense lines, 5 to 70 degrees two-theta, by angle:
2θ (°)  I_rel
17.21  565
18.96  437
29.67  434
31.11  1000
34.14  292
38.49  477
39.81  359
42.45  289
47.00  219
59.36  235

Structural model:
Unit cell a=5.482 b=5.482 c=10.306 alpha=90.00 beta=90.00 gamma=146.69
Atoms (fractional coordinates):
Mg1 0.111 0.889 0.750
Mg2 0.889 0.111 0.250
W1 0.368 0.632 0.574
W2 0.368 0.632 0.926
W3 0.632 0.368 0.074
W4 0.632 0.368 0.426
O1 0.000 0.000 0.000
O2 0.000 0.000 0.500
O3 0.270 0.730 0.115
O4 0.270 0.730 0.385
O5 0.482 0.518 0.750
O6 0.518 0.482 0.250
O7 0.730 0.270 0.615
O8 0.730 0.270 0.885